Starting from a PBE-relaxed structure, the XRD peak list of La2GePbO6 was simulated for Cu Kα.
Neutral-atom scattering factors, no anomalous dispersion.

Top 6 peaks for 2θ = 10–90°, by angle:
2θ 28.1, intensity 100, (1 1 1)
2θ 32.2, intensity 35, (2 0 0)
2θ 33.3, intensity 11, (0 0 2)
2θ 46.1, intensity 19, (2 2 0)
2θ 47.0, intensity 26, (2 0 2)
2θ 54.9, intensity 31, (3 1 1)

Structural model:
Unit cell a=5.5675 b=5.5675 c=5.3832 alpha=90.00 beta=90.00 gamma=90.00
Space group P4mm (No. 99)
Inequivalent atoms, fractional coordinates:
La (0.0000, 0.5000, 0.0000)
Ge (0.0000, 0.0000, 0.6186)
Pb (0.5000, 0.5000, 0.5455)
O (0.0000, 0.0000, 0.2858)
O (0.2236, 0.2236, 0.7472)
O (0.5000, 0.5000, 0.0982)